[1]
Cs2TmUSe4: calculated powder X-ray diffraction pattern (Cu Kα X-rays), based on a DFT-relaxed cell (GGA-PBE, Alexandria).

Principal peaks in the range 2θ = 10–90°, low angle first:
two_theta  Rel. int.
10.54  24
21.16  14
25.18  18
28.05  100
37.57  34
42.48  36
43.52  12
47.93  10
51.68  18
69.06  16

Structural model:
```
data_Cs2TmUSe4
_cell_length_a 7.377
_cell_length_b 4.252
_cell_length_c 8.747
_cell_angle_alpha 90.00
_cell_angle_beta 106.27
_cell_angle_gamma 90.00
_space_group_name_H-M_alt 'P 1 2/m 1'
_space_group_IT_number 10
loop_
_space_group_symop_operation_xyz
'x,y,z'
'-x,-y,-z'
'-x,y,-z'
'x,-y,z'
loop_
_atom_site_label
_atom_site_type_symbol
_atom_site_fract_x
_atom_site_fract_y
_atom_site_fract_z
Cs1 Cs 0.000 0.000 0.000
Cs2 Cs 0.500 0.500 0.000
Tm1 Tm 0.000 0.500 0.500
U1 U 0.500 0.000 0.500
Se1 Se 0.223 0.000 0.684
Se2 Se 0.266 0.500 0.314
```

---

[2]
CsTmZnSe3: calculated powder X-ray diffraction pattern (Cu Kα X-rays), based on a DFT-relaxed cell (GGA-PBE, Alexandria).

Principal peaks in the range 2θ = 10–90°, low angle first:
two_theta  Rel. int.
10.87  90
19.59  50
27.07  43
28.30  100
31.73  48
32.83  44
38.85  58
43.69  33
50.14  35
51.59  31

Structural model:
```
data_CsTmZnSe3
_cell_length_a 4.144
_cell_length_b 10.912
_cell_length_c 8.400
_cell_angle_alpha 90.00
_cell_angle_beta 104.28
_cell_angle_gamma 90.00
_space_group_name_H-M_alt 'P 1 21/m 1'
_space_group_IT_number 11
loop_
_space_group_symop_operation_xyz
'x,y,z'
'-x,-y,-z'
'-x,y+1/2,-z'
'x,-y+1/2,z'
loop_
_atom_site_label
_atom_site_type_symbol
_atom_site_fract_x
_atom_site_fract_y
_atom_site_fract_z
Cs1 Cs 0.245 0.250 0.489
Tm1 Tm 0.500 0.000 0.000
Zn1 Zn 0.037 0.750 0.074
Se1 Se 0.114 0.557 0.229
Se2 Se 0.444 0.750 0.889
```

---

[3]
Cs4USe5: calculated powder X-ray diffraction pattern (Cu Kα X-rays), based on a DFT-relaxed cell (GGA-PBE, Alexandria).

Principal peaks in the range 2θ = 10–90°, low angle first:
two_theta  Rel. int.
11.34  28
14.67  31
21.82  61
24.67  62
25.53  100
35.80  82
36.42  35
42.86  45
44.49  31
57.49  32

Structural model:
```
data_Cs4USe5
_cell_length_a 11.033
_cell_length_b 11.033
_cell_length_c 7.216
_cell_angle_alpha 90.00
_cell_angle_beta 90.00
_cell_angle_gamma 90.00
_space_group_name_H-M_alt 'I 4'
_space_group_IT_number 79
loop_
_space_group_symop_operation_xyz
'x,y,z'
'-y,x,z'
'-x,-y,z'
'y,-x,z'
'x+1/2,y+1/2,z+1/2'
'-y+1/2,x+1/2,z+1/2'
'-x+1/2,-y+1/2,z+1/2'
'y+1/2,-x+1/2,z+1/2'
loop_
_atom_site_label
_atom_site_type_symbol
_atom_site_fract_x
_atom_site_fract_y
_atom_site_fract_z
Cs1 Cs 0.098 0.701 0.000
U1 U 0.000 0.000 0.533
Se1 Se 0.000 0.000 0.898
Se2 Se 0.075 0.771 0.497
```

---

[4]
Cs2U3Se6: calculated powder X-ray diffraction pattern (Cu Kα X-rays), based on a DFT-relaxed cell (GGA-PBE, Alexandria).

Principal peaks in the range 2θ = 10–90°, low angle first:
two_theta  Rel. int.
10.23  68
20.54  15
25.51  16
28.20  100
34.61  21
37.20  35
42.86  13
43.23  35
52.42  18
70.21  15

Structural model:
```
data_Cs2U3Se6
_cell_length_a 7.250
_cell_length_b 12.558
_cell_length_c 8.981
_cell_angle_alpha 90.00
_cell_angle_beta 105.63
_cell_angle_gamma 90.00
_space_group_name_H-M_alt 'C 1 2/m 1'
_space_group_IT_number 12
loop_
_space_group_symop_operation_xyz
'x,y,z'
'-x,-y,-z'
'-x,y,-z'
'x,-y,z'
'x+1/2,y+1/2,z'
'-x+1/2,-y+1/2,-z'
'-x+1/2,y+1/2,-z'
'x+1/2,-y+1/2,z'
loop_
_atom_site_label
_atom_site_type_symbol
_atom_site_fract_x
_atom_site_fract_y
_atom_site_fract_z
Cs1 Cs 0.000 0.167 0.000
U1 U 0.000 0.000 0.500
U2 U 0.000 0.334 0.500
Se1 Se 0.228 0.167 0.684
Se2 Se 0.228 0.500 0.684
```

---

[5]
Cs2YUSe6: calculated powder X-ray diffraction pattern (Cu Kα X-rays), based on a DFT-relaxed cell (GGA-PBE, Alexandria).

Principal peaks in the range 2θ = 10–90°, low angle first:
two_theta  Rel. int.
13.88  21
16.04  23
22.76  77
27.97  32
32.41  100
39.97  35
46.49  72
57.81  25
77.22  32
86.24  25

Structural model:
```
data_Cs2YUSe6
_cell_length_a 7.814
_cell_length_b 11.050
_cell_length_c 7.813
_cell_angle_alpha 90.00
_cell_angle_beta 90.00
_cell_angle_gamma 90.00
_space_group_name_H-M_alt 'P m m n'
_space_group_IT_number 59
loop_
_space_group_symop_operation_xyz
'x,y,z'
'-x,-y,-z'
'-x+1/2,-y+1/2,z'
'x+1/2,y+1/2,-z'
'x+1/2,-y,-z'
'-x+1/2,y,z'
'-x,y+1/2,-z'
'x,-y+1/2,z'
loop_
_atom_site_label
_atom_site_type_symbol
_atom_site_fract_x
_atom_site_fract_y
_atom_site_fract_z
Cs1 Cs 0.250 0.000 0.250
Y1 Y 0.250 0.250 0.749
U1 U 0.250 0.750 0.751
Se1 Se 0.007 0.750 0.508
Se2 Se 0.007 0.750 0.994
Se3 Se 0.250 0.507 0.750
```

---

[6]
CsUZnSe4: calculated powder X-ray diffraction pattern (Cu Kα X-rays), based on a DFT-relaxed cell (GGA-PBE, Alexandria).

Principal peaks in the range 2θ = 10–90°, low angle first:
two_theta  Rel. int.
19.21  85
23.02  33
25.37  65
30.71  100
31.15  69
31.86  54
32.00  32
39.00  41
40.63  35
48.17  37

Structural model:
```
data_CsUZnSe4
_cell_length_a 6.590
_cell_length_b 7.022
_cell_length_c 9.804
_cell_angle_alpha 90.00
_cell_angle_beta 107.24
_cell_angle_gamma 90.00
_space_group_name_H-M_alt 'P 1 21/m 1'
_space_group_IT_number 11
loop_
_space_group_symop_operation_xyz
'x,y,z'
'-x,-y,-z'
'-x,y+1/2,-z'
'x,-y+1/2,z'
loop_
_atom_site_label
_atom_site_type_symbol
_atom_site_fract_x
_atom_site_fract_y
_atom_site_fract_z
Cs1 Cs 0.202 0.250 0.455
U1 U 0.326 0.750 0.052
Zn1 Zn 0.122 0.250 0.846
Se1 Se 0.097 0.250 0.088
Se2 Se 0.237 0.750 0.312
Se3 Se 0.353 0.515 0.813
```